Entry 1:
Diffraction record for K3Pu6Cl20. The powder X-ray diffraction pattern is computed, not measured: it uses a crystal structure in Alexandria, relaxed with PBE and Cu Kα, 1.54184 Å.
No peak broadening, texture or thermal motion is included.

Unit cell a=14.5119 b=14.5119 c=14.5119 alpha=90.00 beta=90.00 gamma=90.00
Space group Fm-3m (No. 225)
Asymmetric unit:
K  0.0000  0.0000  0.0000
K  0.2500  0.2500  0.2500
Pu  0.0000  0.0000  0.2665
Cl  0.0000  0.1658  0.1658
Cl  0.1163  0.1163  0.3837

The 12 most intense peaks (15° ≤ 2θ ≤ 90°), most intense first:
2theta	intensity	hkl
21.21	100	2 2 2
41.27	68	6 2 2
34.98	66	4 4 0
24.54	44	4 0 0
17.28	26	2 2 0
62.73	25	8 4 4
55.18	22	6 6 2
32.05	20	3 3 3
37.17	19	6 0 0
77.89	16	10 6 2
43.19	15	4 4 4
56.74	13	8 4 0

---

Entry 2:
Diffraction record for K4PuCl6. The powder X-ray diffraction pattern is computed, not measured: it uses a crystal structure in Alexandria, relaxed with PBE and Cu Kα, 1.54184 Å.
No peak broadening, texture or thermal motion is included.

Unit cell a=12.6276 b=12.6276 c=15.4642 alpha=90.00 beta=90.00 gamma=120.00
Space group R-3c (No. 167, hexagonal axes)
Asymmetric unit:
K  0.0000  0.0000  0.2500
K  0.0000  0.3685  0.2500
Pu  0.0000  0.0000  0.0000
Cl  0.0314  0.1952  0.3924

The 12 most intense peaks (15° ≤ 2θ ≤ 90°), most intense first:
2theta	intensity	hkl
31.69	100	2 1 4
37.70	69	4 1 0
24.42	67	3 0 0
42.98	43	3 2 4
52.24	39	3 4 2
28.27	37	0 2 4
64.31	30	3 5 4
19.89	28	2 0 2
78.76	27	3 0 12
50.05	26	6 0 0
33.28	23	2 2 3
47.78	23	0 1 8

---

Entry 3:
Diffraction record for K3Pu2Cl9. The powder X-ray diffraction pattern is computed, not measured: it uses a crystal structure in Alexandria, relaxed with PBE and Cu Kα, 1.54184 Å.
No peak broadening, texture or thermal motion is included.

Unit cell a=13.1931 b=13.1931 c=17.9854 alpha=90.00 beta=90.00 gamma=120.00
Space group R-3c (No. 167, hexagonal axes)
Asymmetric unit:
K  0.0000  0.3088  0.2500
Pu  0.0000  0.0000  0.1434
Cl  0.0000  0.1528  0.7500
Cl  0.0308  0.1969  0.4166

The 12 most intense peaks (15° ≤ 2θ ≤ 90°), most intense first:
2theta	intensity	hkl
23.36	100	3 0 0
21.23	84	1 0 4
25.21	77	0 2 4
28.66	76	2 1 4
34.63	74	1 3 4
36.02	69	4 1 0
30.94	56	2 2 3
39.81	52	3 2 4
40.67	52	2 2 6
32.83	45	1 1 6
47.76	40	6 0 0
48.78	30	5 1 4

---

Entry 4:
Diffraction record for K3PuCl8. The powder X-ray diffraction pattern is computed, not measured: it uses a crystal structure in Alexandria, relaxed with PBE and Cu Kα, 1.54184 Å.
No peak broadening, texture or thermal motion is included.

Unit cell a=7.2053 b=7.2053 c=14.1467 alpha=90.00 beta=90.00 gamma=90.00
Space group I4/mmm (No. 139)
Asymmetric unit:
K  0.0000  0.0000  0.0000
K  0.0000  0.5000  0.2500
Pu  0.0000  0.0000  0.5000
Cl  0.2196  0.2196  0.3883

The 12 most intense peaks (15° ≤ 2θ ≤ 90°), most intense first:
2theta	intensity	hkl
21.49	100	1 1 2
35.57	78	2 0 4
35.23	40	2 2 0
41.64	34	3 1 2
42.23	26	1 1 6
17.41	25	1 1 0
33.69	24	2 1 3
63.44	21	4 2 4
56.13	19	3 1 6
45.86	19	3 2 1
28.41	17	2 1 1
22.53	17	1 0 3

---

Entry 5:
Diffraction record for K3PuCl8. The powder X-ray diffraction pattern is computed, not measured: it uses a crystal structure in Alexandria, relaxed with PBE and Cu Kα, 1.54184 Å.
No peak broadening, texture or thermal motion is included.

Unit cell a=7.1596 b=7.1596 c=7.1596 alpha=90.00 beta=90.00 gamma=90.00
Space group Pm-3m (No. 221)
Asymmetric unit:
K  0.0000  0.0000  0.5000
Pu  0.5000  0.5000  0.5000
Cl  0.2788  0.2788  0.2788

The 12 most intense peaks (15° ≤ 2θ ≤ 90°), most intense first:
2theta	intensity	hkl
35.46	100	2 2 0
21.50	85	1 1 1
17.52	61	1 1 0
41.85	42	3 1 1
45.69	29	3 2 0
30.59	27	2 1 1
37.69	27	2 2 1
63.67	26	4 2 2
47.52	24	3 2 1
27.86	20	2 1 0
55.98	19	3 3 1
51.02	15	4 0 0

---

Entry 6:
Diffraction record for K6PuCl12. The powder X-ray diffraction pattern is computed, not measured: it uses a crystal structure in Alexandria, relaxed with PBE and Cu Kα, 1.54184 Å.
No peak broadening, texture or thermal motion is included.

Unit cell a=13.3797 b=13.3797 c=13.2679 alpha=90.00 beta=90.00 gamma=120.00
Space group R-3 (No. 148, hexagonal axes)
Asymmetric unit:
K  0.0558  0.7976  0.1375
Pu  0.0000  0.0000  0.5000
Cl  0.0511  0.8083  0.9011
Cl  0.0574  0.8781  0.3913

The 12 most intense peaks (15° ≤ 2θ ≤ 90°), most intense first:
2theta	intensity	hkl
21.37	100	3 -1 1
33.90	63	3 -1 4
15.39	55	0 1 2
16.70	47	0 2 1
35.50	45	4 1 0
41.12	34	4 1 3
30.92	34	4 -1 2
20.35	27	2 0 2
20.08	22	0 0 3
30.73	19	3 0 3
55.99	15	8 -5 1
33.59	14	4 -2 3

---

Entry 7:
Diffraction record for KRbCl2. The powder X-ray diffraction pattern is computed, not measured: it uses a crystal structure in Alexandria, relaxed with PBE and Cu Kα, 1.54184 Å.
No peak broadening, texture or thermal motion is included.

Unit cell a=7.8468 b=7.8468 c=7.8468 alpha=90.00 beta=90.00 gamma=90.00
Space group Fm-3m (No. 225)
Asymmetric unit:
K  0.0000  0.0000  0.0000
Rb  0.0000  0.0000  0.5000
Cl  0.2500  0.2500  0.2500

The 12 most intense peaks (15° ≤ 2θ ≤ 90°), most intense first:
2theta	intensity	hkl
32.27	100	2 2 0
57.54	33	4 2 2
46.28	17	4 0 0
76.83	14	6 2 0
19.60	11	1 1 1
67.53	10	4 4 0
22.66	9	2 0 0
38.03	7	3 1 1
52.13	4	4 2 0
85.79	4	4 4 4
50.71	3	3 3 1
39.79	3	2 2 2